Simulated powder diffractogram of Mg6Cd5 for λ = 1.5418 Å (Cu Kα), from a crystal structure in OQMD, relaxed with PBE.
Intensities are scaled so that the largest is 100.

Peak list (10 most intense, 2θ = 10–90°, most intense first)
34.8 deg, I = 100, hkl 2 5 1
26.0 deg, I = 91, hkl 1 4 1
35.9 deg, I = 80, hkl 1 3 2
23.2 deg, I = 66, hkl 2 2 0
17.7 deg, I = 65, hkl 0 4 0
40.8 deg, I = 59, hkl 1 8 1
35.1 deg, I = 48, hkl 3 3 0
26.9 deg, I = 45, hkl 2 1 1
37.2 deg, I = 42, hkl 3 2 1
33.5 deg, I = 41, hkl 1 1 2

Atomic structure:
a = 8.307 Å, b = 20.074 Å, c = 5.708 Å
α = 90.00°, β = 90.00°, γ = 90.00°
Space group Ibam (No. 72)
Symmetry-distinct sites (fractional):
Mg1 0.000 0.181 0.250 x8
Mg2 0.112 0.351 0.000 x8
Mg3 0.249 0.081 0.000 x8
Cd1 0.000 0.500 0.250 x4
Cd2 0.116 0.056 0.500 x8
Cd3 0.199 0.280 0.500 x8